The following is a simulated X-ray diffraction stick pattern of Zn3Au. It was derived from a DFT-relaxed cell (GGA-PBE, the Materials Project), using Cu Kα X-rays.
Neutral-atom scattering factors, no anomalous dispersion.

```
data_Zn3Au
_chemical_formula_sum 'Zn24 Au8'
_space_group_name_H-M_alt 'P m -3 n'
_space_group_IT_number 223
_space_group_name_Hall '-P 4n 2 3'
_cell_length_a 7.9802
_cell_length_b 7.9802
_cell_length_c 7.9802
_cell_angle_alpha 90.00
_cell_angle_beta 90.00
_cell_angle_gamma 90.00
loop_
_atom_site_label
_atom_site_type_symbol
_atom_site_fract_x
_atom_site_fract_y
_atom_site_fract_z
_atom_site_occupancy
Zn1 Zn 0.0000 0.1642 0.2996 1
Au1 Au 0.0000 0.0000 0.0000 1
Au2 Au 0.0000 0.5000 0.2500 1
```

Principal peaks in the range 5° ≤ 2θ ≤ 70°, low angle first:
- 22.28°, I 15, (2 0 0)
- 24.95°, I 28, (2 1 0)
- 27.38°, I 28, (2 1 1)
- 31.71°, I 9, (2 2 0)
- 40.77°, I 100, (3 2 0)
- 42.38°, I 64, (3 2 1)
- 45.46°, I 25, (4 0 0)
- 52.55°, I 7, (4 2 1)
- 62.70°, I 17, (4 3 2)
- 63.89°, I 6, (5 2 1)
- 66.25°, I 7, (4 4 0)
- 68.57°, I 5, (4 3 3)